# Pr5Dy2
Simulated XRD peak list, Cu Ka. Input: a crystal structure in Alexandria, relaxed with PBE.
Intensities are scaled so that the largest is 100.

Largest 10 diffraction maxima, by angle, 2θ = 10–80°:
2θ/deg, I_rel
23.41, 26
29.22, 39
30.10, 91
30.39, 100
30.95, 78
31.37, 36
32.59, 49
36.49, 45
37.19, 39
61.75, 28

Crystal structure
```
data_Pr5Dy2
_chemical_formula_sum 'Pr10 Dy4'
_cell_length_a 16.5288
_cell_length_b 3.5829
_cell_length_c 11.5651
_cell_angle_alpha 90.00
_cell_angle_beta 132.29
_cell_angle_gamma 90.00
_space_group_name_H-M_alt 'C 1 2/m 1'
_space_group_IT_number 12
loop_
_space_group_symop_operation_xyz
'x,y,z'
'-x,-y,-z'
'-x,y,-z'
'x,-y,z'
'x+1/2,y+1/2,z'
'-x+1/2,-y+1/2,-z'
'-x+1/2,y+1/2,-z'
'x+1/2,-y+1/2,z'
loop_
_atom_site_label
_atom_site_type_symbol
_atom_site_fract_x
_atom_site_fract_y
_atom_site_fract_z
Pr1 Pr 0.0000 0.0000 0.0000
Pr2 Pr 0.1296 0.5000 0.3624
Pr3 Pr 0.1619 0.0000 0.6696
Dy1 Dy 0.1383 0.5000 0.9133
```